Calculated powder XRD pattern of Ge7H18O23 for Cu Kα (weighted mean of Kα1 and Kα2), from a cell relaxed with GGA-PBE.
No peak broadening, texture or thermal motion is included.

Principal peaks in the range 2θ = 5–70°, by intensity:
d = 7.829 Å, I 100, hkl 0 0 1; d = 7.704 Å, I 47, hkl 1 0 0; d = 4.573 Å, I 14, hkl 1 -1 1; d = 3.914 Å, I 12, hkl 0 2 0; d = 3.220 Å, I 11, hkl -1 1 2; d = 2.479 Å, I 11, hkl 3 -1 0; d = 3.242 Å, I 9, hkl 1 -2 1; d = 2.470 Å, I 9, hkl 1 0 3; d = 4.400 Å, I 9, hkl 1 1 1; d = 3.145 Å, I 7, hkl 1 2 -1; d = 2.760 Å, I 7, hkl 2 0 -2; d = 3.123 Å, I 7, hkl 2 1 -1

Cell and atoms:
```
data_Ge7H18O23
_chemical_formula_sum 'Ge7 H18 O23'
_space_group_name_H-M_alt 'P 1'
_space_group_IT_number 1
_cell_length_a 7.714
_cell_length_b 7.833
_cell_length_c 7.837
_cell_angle_alpha 90.32
_cell_angle_beta 90.52
_cell_angle_gamma 92.90
loop_
_space_group_symop_operation_xyz
'x,y,z'
loop_
_atom_site_label
_atom_site_fract_x
_atom_site_fract_y
_atom_site_fract_z
_atom_site_occupancy
Ge1 0.000 0.000 0.000 1
Ge2 0.004 0.260 0.725 1
Ge3 0.135 0.126 0.370 1
Ge4 0.148 0.614 0.867 1
Ge5 0.269 0.985 0.719 1
Ge6 0.290 0.262 0.987 1
Ge7 0.639 0.116 0.865 1
H1 0.120 0.599 0.459 1
H2 0.243 0.400 0.278 1
H3 0.265 0.699 0.350 1
H4 0.396 0.547 0.513 1
H5 0.494 0.383 0.575 1
H6 0.520 0.838 0.164 1
H7 0.531 0.579 0.901 1
H8 0.570 0.570 0.679 1
H9 0.600 0.997 0.378 1
H10 0.604 0.735 0.310 1
H11 0.643 0.742 0.835 1
H12 0.712 0.139 0.522 1
H13 0.717 0.438 0.112 1
H14 0.792 0.082 0.331 1
H15 0.812 0.506 0.280 1
H16 0.869 0.762 0.583 1
H17 0.896 0.825 0.397 1
H18 0.921 0.668 0.067 1
O1 0.005 0.493 0.736 1
O2 0.014 0.264 0.490 1
O3 0.019 0.741 0.014 1
O4 0.021 0.245 0.972 1
O5 0.023 0.999 0.749 1
O6 0.225 0.585 0.390 1
O7 0.249 0.019 0.002 1
O8 0.262 0.753 0.734 1
O9 0.266 0.991 0.482 1
O10 0.267 0.238 0.743 1
O11 0.267 0.280 0.241 1
O12 0.302 0.501 0.986 1
O13 0.505 0.983 0.736 1
O14 0.513 0.505 0.552 1
O15 0.517 0.820 0.288 1
O16 0.532 0.258 0.000 1
O17 0.626 0.617 0.822 1
O18 0.682 0.103 0.396 1
O19 0.761 0.968 0.983 1
O20 0.762 0.225 0.704 1
O21 0.775 0.539 0.166 1
O22 0.844 0.731 0.465 1
O23 0.978 0.010 0.242 1
```


Calculated powder XRD pattern of Ge7H18O23 for Cu Kα (weighted mean of Kα1 and Kα2), from a cell relaxed with GGA-PBE.
No peak broadening, texture or thermal motion is included.

Principal peaks in the range 2θ = 5–70°, by intensity:
d = 8.045 Å, I 100, hkl 0 1 0; d = 7.565 Å, I 60, hkl 1 0 0; d = 3.234 Å, I 21, hkl 1 -2 1; d = 4.511 Å, I 15, hkl 1 1 -1; d = 4.543 Å, I 11, hkl 1 -1 1; d = 3.128 Å, I 11, hkl 2 1 -1; d = 3.302 Å, I 8, hkl 1 1 2; d = 4.025 Å, I 7, hkl 0 0 2; d = 2.514 Å, I 7, hkl 1 0 -3; d = 4.623 Å, I 6, hkl 1 1 1; d = 3.255 Å, I 6, hkl 1 -1 2; d = 2.822 Å, I 6, hkl 0 2 -2

Cell and atoms:
```
data_Ge7H18O23
_chemical_formula_sum 'Ge7 H18 O23'
_space_group_name_H-M_alt 'P 1'
_space_group_IT_number 1
_cell_length_a 7.567
_cell_length_b 8.031
_cell_length_c 8.064
_cell_angle_alpha 89.08
_cell_angle_beta 88.69
_cell_angle_gamma 89.38
loop_
_space_group_symop_operation_xyz
'x,y,z'
loop_
_atom_site_label
_atom_site_fract_x
_atom_site_fract_y
_atom_site_fract_z
_atom_site_occupancy
Ge1 0.000 0.000 0.000 1
Ge2 0.004 0.723 0.740 1
Ge3 0.379 0.861 0.843 1
Ge4 0.724 0.721 0.002 1
Ge5 0.746 0.048 0.663 1
Ge6 0.869 0.856 0.338 1
Ge7 0.878 0.365 0.857 1
H1 0.074 0.653 0.425 1
H2 0.112 0.133 0.559 1
H3 0.130 0.615 0.138 1
H4 0.155 0.156 0.373 1
H5 0.234 0.381 0.802 1
H6 0.251 0.483 0.227 1
H7 0.282 0.153 0.898 1
H8 0.394 0.793 0.254 1
H9 0.423 0.306 0.756 1
H10 0.444 0.914 0.391 1
H11 0.485 0.628 0.479 1
H12 0.530 0.110 0.170 1
H13 0.586 0.251 0.280 1
H14 0.620 0.593 0.620 1
H15 0.658 0.028 0.947 1
H16 0.713 0.447 0.399 1
H17 0.779 0.437 0.144 1
H18 0.890 0.333 0.367 1
O1 0.002 0.765 0.975 1
O2 0.023 0.977 0.225 1
O3 0.039 0.492 0.759 1
O4 0.107 0.216 0.470 1
O5 0.146 0.553 0.242 1
O6 0.243 0.759 0.707 1
O7 0.247 0.023 0.946 1
O8 0.329 0.305 0.841 1
O9 0.378 0.813 0.373 1
O10 0.479 0.198 0.239 1
O11 0.479 0.735 0.996 1
O12 0.533 0.007 0.755 1
O13 0.557 0.538 0.531 1
O14 0.725 0.986 0.457 1
O15 0.739 0.971 0.024 1
O16 0.741 0.266 0.711 1
O17 0.742 0.717 0.228 1
O18 0.755 0.479 0.019 1
O19 0.758 0.704 0.772 1
O20 0.779 0.374 0.317 1
O21 0.956 0.977 0.737 1
O22 0.983 0.223 0.989 1
O23 0.984 0.722 0.490 1
```